This entry pairs a crystal structure of Pm3Sn3Pd2 with its theoretical powder XRD pattern. Radiation: CuKα. Structure: a cell relaxed with GGA-PBE.
Intensities are scaled so that the largest is 100.

Main lines, most intense first (5° ≤ 2θ ≤ 70°):
2θ (°), I_rel
31.14, 100.0
35.48, 53.7
38.90, 46.9
38.77, 43.3
31.37, 37.2
32.05, 21.1
33.02, 19.1
61.47, 18.2
34.71, 17.8
36.58, 17.0

Atomic structure:
Lattice parameters (Å, degrees): 6.0454 6.0454 15.5070 90.00 90.00 134.97
Fractional positions:
Pm: 0.0837 0.9163 0.6098
Pm: 0.0837 0.9163 0.8902
Pm: 0.3567 0.6433 0.7500
Pm: 0.6433 0.3567 0.2500
Pm: 0.9163 0.0837 0.1098
Pm: 0.9163 0.0837 0.3902
Sn: 0.3506 0.6494 0.2500
Sn: 0.3765 0.6235 0.5374
Sn: 0.3765 0.6235 0.9626
Sn: 0.6235 0.3765 0.0374
Sn: 0.6235 0.3765 0.4626
Sn: 0.6494 0.3506 0.7500
Pd: 0.2056 0.7944 0.1046
Pd: 0.2056 0.7944 0.3954
Pd: 0.7944 0.2056 0.6046
Pd: 0.7944 0.2056 0.8954